Computed X-ray powder pattern of Mg4ZrPt5 for Cu Kα, 1.54184 Å, from a cell relaxed with GGA-PBE.
Peak positions follow from Bragg's law for the DFT cell and can differ from measured ones.

The 12 most intense peaks (10° ≤ 2θ ≤ 80°), sorted by position:
2θ 27.32, d = 3.264 Å, rel. 28; 2θ 28.01, d = 3.185 Å, rel. 57; 2θ 39.53, d = 2.280 Å, rel. 100; 2θ 40.03, d = 2.252 Å, rel. 51; 2θ 49.15, d = 1.854 Å, rel. 24; 2θ 56.38, d = 1.632 Å, rel. 7; 2θ 57.90, d = 1.593 Å, rel. 18; 2θ 64.12, d = 1.452 Å, rel. 9; 2θ 65.18, d = 1.431 Å, rel. 10; 2θ 65.53, d = 1.425 Å, rel. 11; 2θ 71.37, d = 1.322 Å, rel. 15; 2θ 72.38, d = 1.306 Å, rel. 34

Crystal structure
a b c (Å): 3.1854 3.1854 16.3192
angles (deg): 90.00 90.00 90.00
Fractional positions:
Mg: 0.0000 0.0000 0.0956
Mg: 0.0000 0.0000 0.2883
Mg: 0.0000 0.0000 0.7117
Mg: 0.0000 0.0000 0.9044
Zr: 0.0000 0.0000 0.5000
Pt: 0.5000 0.5000 0.0000
Pt: 0.5000 0.5000 0.1917
Pt: 0.5000 0.5000 0.3903
Pt: 0.5000 0.5000 0.6097
Pt: 0.5000 0.5000 0.8083



Computed X-ray powder pattern of Mg3ZrPt4 for Cu Kα, 1.54184 Å, from a cell relaxed with GGA-PBE.
Peak positions follow from Bragg's law for the DFT cell and can differ from measured ones.

The 12 most intense peaks (10° ≤ 2θ ≤ 80°), sorted by position:
2θ 20.78, d = 4.275 Å, rel. 10; 2θ 26.53, d = 3.360 Å, rel. 59; 2θ 30.12, d = 2.967 Å, rel. 25; 2θ 37.49, d = 2.399 Å, rel. 21; 2θ 38.24, d = 2.353 Å, rel. 33; 2θ 38.73, d = 2.325 Å, rel. 10; 2θ 40.56, d = 2.224 Å, rel. 100; 2θ 49.43, d = 1.844 Å, rel. 13; 2θ 54.63, d = 1.680 Å, rel. 14; 2θ 69.22, d = 1.357 Å, rel. 8; 2θ 70.70, d = 1.332 Å, rel. 19; 2θ 75.80, d = 1.255 Å, rel. 9

Crystal structure
a b c (Å): 9.4138 5.9345 4.7983
angles (deg): 90.00 90.00 90.00
Fractional positions:
Mg: 0.0000 0.0000 0.0000
Mg: 0.2500 0.0000 0.4206
Mg: 0.2500 0.5000 0.4396
Mg: 0.5000 0.0000 0.0000
Mg: 0.7500 0.0000 0.5794
Mg: 0.7500 0.5000 0.5604
Zr: 0.0000 0.5000 0.0000
Zr: 0.5000 0.5000 0.0000
Pt: 0.0000 0.2449 0.5000
Pt: 0.0000 0.7551 0.5000
Pt: 0.2500 0.2438 0.9175
Pt: 0.2500 0.7562 0.9175
Pt: 0.5000 0.2449 0.5000
Pt: 0.5000 0.7551 0.5000
Pt: 0.7500 0.2438 0.0825
Pt: 0.7500 0.7562 0.0825



Computed X-ray powder pattern of PuMg3 for Cu Kα, 1.54184 Å, from a cell relaxed with GGA-PBE.
Peak positions follow from Bragg's law for the DFT cell and can differ from measured ones.

The 12 most intense peaks (10° ≤ 2θ ≤ 80°), sorted by position:
2θ 14.56, d = 6.083 Å, rel. 100; 2θ 16.60, d = 5.340 Å, rel. 77; 2θ 22.15, d = 4.013 Å, rel. 83; 2θ 29.37, d = 3.041 Å, rel. 23; 2θ 33.11, d = 2.705 Å, rel. 43; 2θ 33.56, d = 2.670 Å, rel. 33; 2θ 33.92, d = 2.643 Å, rel. 60; 2θ 34.10, d = 2.629 Å, rel. 28; 2θ 36.76, d = 2.445 Å, rel. 22; 2θ 37.26, d = 2.413 Å, rel. 80; 2θ 45.61, d = 1.989 Å, rel. 25; 2θ 47.87, d = 1.900 Å, rel. 32

Crystal structure
a b c (Å): 3.0204 5.3399 6.0829
angles (deg): 90.00 90.00 90.00
Fractional positions:
Pu: 0.0000 0.0000 0.0000
Mg: 0.0000 0.5000 0.6932
Mg: 0.5000 0.0000 0.4998
Mg: 0.5000 0.5000 0.2105



Computed X-ray powder pattern of Pu6Mg for Cu Kα, 1.54184 Å, from a cell relaxed with GGA-PBE.
Peak positions follow from Bragg's law for the DFT cell and can differ from measured ones.

The 12 most intense peaks (10° ≤ 2θ ≤ 80°), sorted by position:
2θ 18.77, d = 4.729 Å, rel. 100; 2θ 26.66, d = 3.344 Å, rel. 27; 2θ 32.80, d = 2.730 Å, rel. 65; 2θ 38.06, d = 2.364 Å, rel. 18; 2θ 42.76, d = 2.115 Å, rel. 26; 2θ 47.07, d = 1.931 Å, rel. 63; 2θ 51.10, d = 1.787 Å, rel. 38; 2θ 54.92, d = 1.672 Å, rel. 33; 2θ 58.56, d = 1.576 Å, rel. 16; 2θ 62.07, d = 1.495 Å, rel. 11; 2θ 72.00, d = 1.312 Å, rel. 17; 2θ 78.31, d = 1.221 Å, rel. 11

Crystal structure
a b c (Å): 6.6875 6.6875 6.6875
angles (deg): 90.00 90.00 90.00
Fractional positions:
Pu: 0.0000 0.2500 0.5000
Pu: 0.0000 0.5000 0.2500
Pu: 0.0000 0.5000 0.7500
Pu: 0.0000 0.7500 0.5000
Pu: 0.2500 0.0000 0.5000
Pu: 0.2500 0.5000 0.0000
Pu: 0.5000 0.0000 0.2500
Pu: 0.5000 0.0000 0.7500
Pu: 0.5000 0.2500 0.0000
Pu: 0.5000 0.7500 0.0000
Pu: 0.7500 0.0000 0.5000
Pu: 0.7500 0.5000 0.0000
Mg: 0.0000 0.0000 0.0000
Mg: 0.5000 0.5000 0.5000



Computed X-ray powder pattern of Rb3Pu3MgSe8 for Cu Kα, 1.54184 Å, from a cell relaxed with GGA-PBE.
Peak positions follow from Bragg's law for the DFT cell and can differ from measured ones.

The 12 most intense peaks (10° ≤ 2θ ≤ 80°), sorted by position:
2θ 10.95, d = 8.083 Å, rel. 94; 2θ 14.20, d = 6.236 Å, rel. 28; 2θ 19.06, d = 4.656 Å, rel. 14; 2θ 28.59, d = 3.123 Å, rel. 52; 2θ 28.65, d = 3.116 Å, rel. 100; 2θ 35.81, d = 2.508 Å, rel. 35; 2θ 38.68, d = 2.328 Å, rel. 49; 2θ 43.06, d = 2.101 Å, rel. 37; 2θ 43.18, d = 2.095 Å, rel. 18; 2θ 44.91, d = 2.019 Å, rel. 19; 2θ 48.28, d = 1.885 Å, rel. 18; 2θ 52.60, d = 1.740 Å, rel. 19

Crystal structure
a b c (Å): 8.4033 8.4033 9.4282
angles (deg): 116.50 116.50 59.82
Fractional positions:
Rb: 0.0000 0.0000 0.0000
Rb: 0.0000 0.5000 0.0000
Rb: 0.5000 0.0000 0.0000
Pu: 0.0000 0.5000 0.5000
Pu: 0.5000 0.0000 0.5000
Pu: 0.5000 0.5000 0.5000
Mg: 0.0000 0.0000 0.5000
Se: 0.2272 0.7331 0.6859
Se: 0.2300 0.2300 0.6861
Se: 0.2669 0.7728 0.3141
Se: 0.2675 0.2675 0.3046
Se: 0.7325 0.7325 0.6954
Se: 0.7331 0.2272 0.6859
Se: 0.7700 0.7700 0.3139
Se: 0.7728 0.2669 0.3141



Computed X-ray powder pattern of Rb3Pu2MgTe6 for Cu Kα, 1.54184 Å, from a cell relaxed with GGA-PBE.
Peak positions follow from Bragg's law for the DFT cell and can differ from measured ones.

The 12 most intense peaks (10° ≤ 2θ ≤ 80°), sorted by position:
2θ 10.43, d = 8.480 Å, rel. 32; 2θ 26.65, d = 3.345 Å, rel. 100; 2θ 33.58, d = 2.669 Å, rel. 16; 2θ 36.33, d = 2.473 Å, rel. 32; 2θ 39.70, d = 2.271 Å, rel. 39; 2θ 41.16, d = 2.193 Å, rel. 8; 2θ 45.50, d = 1.994 Å, rel. 11; 2θ 48.46, d = 1.879 Å, rel. 20; 2θ 54.90, d = 1.672 Å, rel. 10; 2θ 59.67, d = 1.550 Å, rel. 9; 2θ 64.36, d = 1.447 Å, rel. 17; 2θ 69.85, d = 1.347 Å, rel. 9

Crystal structure
a b c (Å): 7.8654 7.8654 8.8771
angles (deg): 98.50 98.50 120.00
Fractional positions:
Rb: 0.0000 0.0000 0.0000
Rb: 0.3332 0.6668 0.0000
Rb: 0.6668 0.3332 0.0000
Pu: 0.1667 0.8333 0.5000
Pu: 0.8333 0.1667 0.5000
Mg: 0.5000 0.5000 0.5000
Te: 0.1056 0.4352 0.3056
Te: 0.2351 0.2351 0.6945
Te: 0.4352 0.1056 0.3056
Te: 0.5648 0.8944 0.6944
Te: 0.7649 0.7649 0.3055
Te: 0.8944 0.5648 0.6944



Computed X-ray powder pattern of Pu2MgRh3 for Cu Kα, 1.54184 Å, from a cell relaxed with GGA-PBE.
Peak positions follow from Bragg's law for the DFT cell and can differ from measured ones.

The 12 most intense peaks (10° ≤ 2θ ≤ 80°), sorted by position:
2θ 12.62, d = 7.015 Å, rel. 27; 2θ 20.47, d = 4.338 Å, rel. 16; 2θ 25.41, d = 3.505 Å, rel. 23; 2θ 32.89, d = 2.723 Å, rel. 16; 2θ 37.51, d = 2.398 Å, rel. 100; 2θ 38.04, d = 2.366 Å, rel. 99; 2θ 38.50, d = 2.338 Å, rel. 46; 2θ 39.85, d = 2.262 Å, rel. 43; 2θ 52.31, d = 1.749 Å, rel. 20; 2θ 66.80, d = 1.400 Å, rel. 18; 2θ 67.73, d = 1.384 Å, rel. 18; 2θ 69.69, d = 1.349 Å, rel. 16

Crystal structure
a b c (Å): 4.5257 3.4975 7.3188
angles (deg): 90.00 106.55 90.00
Fractional positions:
Pu: 0.1531 0.0000 0.3255
Pu: 0.8469 0.0000 0.6745
Mg: 0.5000 0.0000 0.0000
Rh: 0.0000 0.5000 0.0000
Rh: 0.3555 0.5000 0.6849
Rh: 0.6445 0.5000 0.3151



Computed X-ray powder pattern of Pu4MgRh3 for Cu Kα, 1.54184 Å, from a cell relaxed with GGA-PBE.
Peak positions follow from Bragg's law for the DFT cell and can differ from measured ones.

The 12 most intense peaks (10° ≤ 2θ ≤ 80°), sorted by position:
2θ 11.54, d = 7.668 Å, rel. 20; 2θ 31.62, d = 2.829 Å, rel. 45; 2θ 33.75, d = 2.656 Å, rel. 84; 2θ 35.80, d = 2.508 Å, rel. 22; 2θ 37.08, d = 2.425 Å, rel. 40; 2θ 37.72, d = 2.385 Å, rel. 100; 2θ 39.59, d = 2.277 Å, rel. 29; 2θ 47.96, d = 1.897 Å, rel. 21; 2θ 57.69, d = 1.598 Å, rel. 19; 2θ 60.38, d = 1.533 Å, rel. 36; 2θ 69.75, d = 1.348 Å, rel. 25; 2θ 77.00, d = 1.238 Å, rel. 17

Crystal structure
a b c (Å): 8.1732 8.1732 8.1732
angles (deg): 96.88 96.88 139.49
Fractional positions:
Pu: 0.0826 0.7759 0.8585
Pu: 0.2241 0.0826 0.3066
Pu: 0.2759 0.5826 0.8585
Pu: 0.4174 0.2759 0.6934
Pu: 0.5826 0.7241 0.3066
Pu: 0.7241 0.4174 0.1415
Pu: 0.7759 0.9174 0.6934
Pu: 0.9174 0.2241 0.1415
Mg: 0.2500 0.7500 0.5000
Mg: 0.7500 0.2500 0.5000
Rh: 0.1583 0.3417 0.5000
Rh: 0.2500 0.2500 0.0000
Rh: 0.3417 0.8417 0.1834
Rh: 0.6583 0.1583 0.8166
Rh: 0.7500 0.7500 0.0000
Rh: 0.8417 0.6583 0.5000